Entry 1:
# Pr3Y5Ho2
Simulated X-ray diffraction stick pattern, Cu Kα X-rays. Input: a DFT-relaxed cell (GGA-PBE, Alexandria).
Lines closer than 0.1° are merged.

Principal peaks in the range 2θ from 10° to 80°, low angle first:
Position (°2θ), Rel. int., index
19.7, 20, 2 2 -1
29.8, 78, 2 4 -2
30.6, 100, 2 2 1
32.0, 31, 0 4 2
33.1, 45, 4 0 -2
37.0, 26, 2 6 -1
39.0, 19, 2 0 2
46.7, 22, 4 4 0
48.9, 18, 0 6 3
67.5, 19, 2 4 -6

Cell and atoms:
a = 10.820 Å, b = 16.321 Å, c = 9.375 Å
α = 90.00°, β = 125.17°, γ = 90.00°
Space group C2/c (No. 15)
Unique sites:
1 Pr 0.000 0.231 0.250
2 Pr 0.146 0.125 0.046
3 Y 0.000 0.026 0.250
4 Y 0.000 0.274 0.750
5 Y 0.000 0.472 0.750
6 Y 0.243 0.384 0.237
7 Ho 0.149 0.381 0.545

***

Entry 2:
# V2CrPd6
Simulated X-ray diffraction stick pattern, Cu Kα X-rays. Input: a DFT-relaxed cell (GGA-PBE, Alexandria).
Lines closer than 0.1° are merged.

Principal peaks in the range 2θ from 10° to 80°, low angle first:
Position (°2θ), Rel. int., index
15.5, 4, 0 2 0
31.3, 7, 0 4 0
33.2, 11, 1 1 3
40.2, 100, 1 3 3
46.2, 34, 2 0 0
47.8, 14, 0 6 0
56.9, 5, 2 4 0
66.4, 5, 1 7 3
67.4, 10, 2 0 6
68.6, 18, 2 6 0

Cell and atoms:
a = 3.930 Å, b = 11.422 Å, c = 11.800 Å
α = 90.00°, β = 90.00°, γ = 90.00°
Space group Fmmm (No. 69)
Unique sites:
1 V 0.000 0.000 0.165
2 Cr 0.000 0.000 0.500
3 Pd 0.000 0.157 0.333
4 Pd 0.000 0.159 0.000